1.
Computed powder diffractogram of Tl2IF5 for Cu Kα (weighted mean of Kα1 and Kα2), from a cell relaxed with GGA-PBE.
Lines closer than 0.1° are merged.

```
data_Tl2IF5
_symmetry_space_group_name_H-M 'P -1'
_symmetry_Int_Tables_number 2
_cell_length_a 3.897
_cell_length_b 7.168
_cell_length_c 7.226
_cell_angle_alpha 106.99
_cell_angle_beta 98.16
_cell_angle_gamma 100.80
loop_
_symmetry_equiv_pos_as_xyz
'x,y,z'
'-x,-y,-z'
loop_
_atom_site_label
_atom_site_type_symbol
_atom_site_fract_x
_atom_site_fract_y
_atom_site_fract_z
Tl1 Tl 0.017 0.161 0.348
I1 I 0.500 0.500 0.000
F1 F 0.222 0.212 0.960
F2 F 0.265 0.481 0.719
F3 F 0.500 0.000 0.500
```

Most intense lines, 10° ≤ 2θ ≤ 80°, sorted by position:
index, d (Å), intensity
0 1 1, 4.114, 100
1 -1 0, 3.663, 46
1 0 -1, 3.611, 33
0 1 -2, 3.513, 56
0 2 -1, 3.468, 53
1 1 -1, 3.099, 21
1 1 -2, 2.684, 21
-1 2 1, 2.517, 25
0 0 3, 2.253, 35
0 3 0, 2.217, 24

2.
Computed powder diffractogram of La2Nd4SmY2 for Cu Kα (weighted mean of Kα1 and Kα2), from a cell relaxed with GGA-PBE.
Lines closer than 0.1° are merged.

```
data_La2Nd4SmY2
_symmetry_space_group_name_H-M 'C 1 2/m 1'
_symmetry_Int_Tables_number 12
_cell_length_a 19.190
_cell_length_b 3.702
_cell_length_c 9.822
_cell_angle_alpha 90.00
_cell_angle_beta 115.77
_cell_angle_gamma 90.00
loop_
_symmetry_equiv_pos_as_xyz
'x,y,z'
'-x,-y,-z'
'-x,y,-z'
'x,-y,z'
'x+1/2,y+1/2,z'
'-x+1/2,-y+1/2,-z'
'-x+1/2,y+1/2,-z'
'x+1/2,-y+1/2,z'
loop_
_atom_site_label
_atom_site_type_symbol
_atom_site_fract_x
_atom_site_fract_y
_atom_site_fract_z
La1 La 0.166 0.000 0.499
Nd1 Nd 0.018 0.000 0.836
Nd2 Nd 0.186 0.500 0.834
Sm1 Sm 0.000 0.500 0.500
Y1 Y 0.148 0.500 0.166
```

Most intense lines, 10° ≤ 2θ ≤ 80°, sorted by position:
index, d (Å), intensity
3 1 -1, 3.179, 40
0 0 3, 2.948, 50
6 0 0, 2.884, 100
6 0 -3, 2.742, 89
3 1 2, 2.304, 15
0 2 0, 1.849, 38
6 0 3, 1.721, 21
6 0 -6, 1.631, 19
9 1 1, 1.566, 45
6 2 0, 1.556, 16